Starting from DFT lattice parameters and positions (PBE), the X-ray diffraction stick pattern of Cs2K2TeO5 was calculated for copper Kα.

Structural model:
abc: 9.372 9.372 9.694
angles: 90.00 90.00 90.00
Fractional positions:
Cs (0.000, 0.500, 0.250)
Cs (0.000, 0.500, 0.750)
Cs (0.162, 0.162, 0.000)
Cs (0.338, 0.662, 0.500)
Cs (0.500, 0.000, 0.250)
Cs (0.500, 0.000, 0.750)
Cs (0.662, 0.338, 0.500)
Cs (0.838, 0.838, 0.000)
K (0.125, 0.875, 0.286)
K (0.125, 0.875, 0.714)
K (0.375, 0.375, 0.214)
K (0.375, 0.375, 0.786)
K (0.625, 0.625, 0.214)
K (0.625, 0.625, 0.786)
K (0.875, 0.125, 0.286)
K (0.875, 0.125, 0.714)
Te (0.192, 0.192, 0.500)
Te (0.308, 0.692, 0.000)
Te (0.692, 0.308, 0.000)
Te (0.808, 0.808, 0.500)
O (0.002, 0.269, 0.500)
O (0.165, 0.835, 0.000)
O (0.179, 0.179, 0.299)
O (0.179, 0.179, 0.701)
O (0.231, 0.502, 0.000)
O (0.269, 0.002, 0.500)
O (0.321, 0.679, 0.201)
O (0.321, 0.679, 0.799)
O (0.335, 0.335, 0.500)
O (0.498, 0.769, 0.000)
O (0.502, 0.231, 0.000)
O (0.665, 0.665, 0.500)
O (0.679, 0.321, 0.201)
O (0.679, 0.321, 0.799)
O (0.731, 0.998, 0.500)
O (0.769, 0.498, 0.000)
O (0.821, 0.821, 0.299)
O (0.821, 0.821, 0.701)
O (0.835, 0.165, 0.000)
O (0.998, 0.731, 0.500)

Main lines, low angle first (2θ from 5° to 70°):
| index | Position (°2θ) | I/Imax |
| --- | --- | --- |
| 2 1 0 | 21.20 | 39 |
| 1 1 2 | 22.73 | 38 |
| 2 0 2 | 26.46 | 100 |
| 2 1 2 | 28.15 | 89 |
| 3 1 0 | 30.16 | 86 |
| 3 1 4 | 48.53 | 38 |